# 1
Simulated powder XRD pattern of AcPaCu2O7 for λ = 1.5418 Å (Cu Kα), from the PBE geometry in Alexandria.
Lines closer than 0.1° are merged.

Principal peaks in the range 5° ≤ 2θ ≤ 70°, by angle:
two_theta  d_spacing  intensity
20.6  4.302  31
22.0  4.042  71
26.5  3.367  100
32.2  2.782  88
33.8  2.651  55
42.7  2.116  21
43.5  2.079  48
44.1  2.053  31
51.7  1.769  33
56.2  1.636  27
62.1  1.495  24
62.6  1.484  34

Structure:
Cell: 9.092 9.092 9.092 Å, 153.56 153.56 37.74°
Fractional coordinates of all 11 atoms:
Ac (0.000, 0.000, 0.000)
Pa (0.750, 0.250, 0.500)
Cu (0.391, 0.391, 0.000)
Cu (0.609, 0.609, 0.000)
O (0.091, 0.591, 0.500)
O (0.274, 0.274, 0.000)
O (0.409, 0.909, 0.500)
O (0.500, 0.500, 0.000)
O (0.619, 0.119, 0.500)
O (0.726, 0.726, 0.000)
O (0.881, 0.381, 0.500)

***

# 2
Simulated powder XRD pattern of TbPr2Pb9 for λ = 1.5418 Å (Cu Kα), from the PBE geometry in Alexandria.
Lines closer than 0.1° are merged.

Principal peaks in the range 5° ≤ 2θ ≤ 70°, by angle:
two_theta  d_spacing  intensity
18.0  4.926  1
25.6  3.483  1
31.5  2.844  100
36.5  2.463  51
41.0  2.203  1
45.1  2.011  1
52.5  1.742  36
62.5  1.485  43
65.7  1.422  13

Structure:
Cell: 4.928 4.928 14.761 Å, 90.00 90.00 90.00°
Fractional coordinates of all 12 atoms:
Tb (0.000, 0.000, 0.000)
Pr (0.000, 0.000, 0.332)
Pr (0.000, 0.000, 0.668)
Pb (0.000, 0.500, 0.163)
Pb (0.000, 0.500, 0.500)
Pb (0.000, 0.500, 0.837)
Pb (0.500, 0.000, 0.163)
Pb (0.500, 0.000, 0.500)
Pb (0.500, 0.000, 0.837)
Pb (0.500, 0.500, 0.000)
Pb (0.500, 0.500, 0.332)
Pb (0.500, 0.500, 0.668)

***

# 3
Simulated powder XRD pattern of In5CuS8 for λ = 1.5418 Å (Cu Kα), from the PBE geometry in Alexandria.
Lines closer than 0.1° are merged.

Principal peaks in the range 5° ≤ 2θ ≤ 70°, by angle:
two_theta  d_spacing  intensity
14.2  6.254  17
23.2  3.830  21
27.3  3.266  100
28.5  3.127  9
33.1  2.708  34
40.8  2.211  11
43.4  2.085  45
47.5  1.915  66
55.6  1.652  12
59.1  1.564  7
66.3  1.410  22
69.4  1.354  10

Structure:
Cell: 7.660 7.660 7.660 Å, 60.00 60.00 60.00°
Fractional coordinates of all 14 atoms:
In (0.000, 0.000, 0.000)
In (0.381, 0.381, 0.381)
In (0.381, 0.381, 0.856)
In (0.381, 0.856, 0.381)
In (0.856, 0.381, 0.381)
Cu (0.750, 0.750, 0.750)
S (0.130, 0.623, 0.623)
S (0.134, 0.134, 0.134)
S (0.134, 0.134, 0.597)
S (0.134, 0.597, 0.134)
S (0.597, 0.134, 0.134)
S (0.623, 0.130, 0.623)
S (0.623, 0.623, 0.130)
S (0.623, 0.623, 0.623)

***

# 4
Simulated powder XRD pattern of La4Pd2Cl3 for λ = 1.5418 Å (Cu Kα), from the PBE geometry in Alexandria.
Lines closer than 0.1° are merged.

Principal peaks in the range 5° ≤ 2θ ≤ 70°, by angle:
two_theta  d_spacing  intensity
10.0  8.888  50
24.8  3.584  11
28.7  3.114  100
31.7  2.825  14
35.2  2.550  15
39.1  2.303  28
42.8  2.113  38
43.4  2.086  15
44.1  2.056  8
47.9  1.899  8
52.3  1.748  18
69.8  1.347  15

Structure:
Cell: 4.226 4.226 17.777 Å, 90.10 90.10 59.98°
Fractional coordinates of all 9 atoms:
La (0.002, 0.002, 0.308)
La (0.334, 0.334, 0.116)
La (0.666, 0.666, 0.884)
La (0.998, 0.998, 0.692)
Pd (0.332, 0.332, 0.791)
Pd (0.668, 0.668, 0.209)
Cl (0.000, 0.000, 0.000)
Cl (0.336, 0.336, 0.404)
Cl (0.664, 0.664, 0.596)

***

# 5
Simulated powder XRD pattern of NaMn5Se8 for λ = 1.5418 Å (Cu Kα), from the PBE geometry in Alexandria.
Lines closer than 0.1° are merged.

Principal peaks in the range 5° ≤ 2θ ≤ 70°, by angle:
two_theta  d_spacing  intensity
9.6  9.189  22
10.4  8.498  39
12.1  7.288  28
31.1  2.877  37
31.6  2.833  100
32.9  2.720  46
33.7  2.663  17
37.0  2.430  18
37.8  2.381  23
39.7  2.270  29
49.5  1.842  26
49.6  1.837  44

Structure:
Cell: 9.714 9.714 8.820 Å, 105.26 105.26 21.86°
Fractional coordinates of all 14 atoms:
Na (0.000, 0.000, 0.000)
Mn (0.187, 0.187, 0.483)
Mn (0.236, 0.236, 0.841)
Mn (0.533, 0.533, 0.503)
Mn (0.827, 0.827, 0.167)
Mn (0.877, 0.877, 0.526)
Se (0.104, 0.104, 0.668)
Se (0.294, 0.294, 0.351)
Se (0.365, 0.365, 0.007)
Se (0.452, 0.452, 0.689)
Se (0.614, 0.614, 0.318)
Se (0.699, 0.699, 0.999)
Se (0.769, 0.769, 0.657)
Se (0.961, 0.961, 0.339)

***

# 6
Simulated powder XRD pattern of Mg5W3 for λ = 1.5418 Å (Cu Kα), from the PBE geometry in Alexandria.
Lines closer than 0.1° are merged.

Principal peaks in the range 5° ≤ 2θ ≤ 70°, by angle:
two_theta  d_spacing  intensity
10.4  8.476  100
12.4  7.128  16
17.5  5.079  24
37.1  2.425  8
37.4  2.404  11
37.6  2.390  11
37.8  2.378  13
40.5  2.229  7
40.5  2.226  7
41.0  2.202  10
42.7  2.119  7
43.5  2.079  10

Structure:
Cell: 5.140 7.409 8.614 Å, 97.57 94.98 103.11°
Fractional coordinates of all 16 atoms:
Mg (0.000, 0.000, 0.000)
Mg (0.018, 0.073, 0.675)
Mg (0.181, 0.687, 0.204)
Mg (0.215, 0.447, 0.544)
Mg (0.373, 0.790, 0.865)
Mg (0.396, 0.872, 0.534)
Mg (0.554, 0.214, 0.880)
Mg (0.647, 0.245, 0.493)
Mg (0.760, 0.674, 0.400)
Mg (0.789, 0.604, 0.747)
W (0.080, 0.049, 0.333)
W (0.135, 0.418, 0.939)
W (0.372, 0.337, 0.217)
W (0.582, 0.992, 0.202)
W (0.626, 0.591, 0.056)
W (0.866, 0.322, 0.189)